Record 1
SiAs2: computed X-ray powder pattern (Cu Kα (weighted mean of Kα1 and Kα2)), based on a crystal structure in the Materials Project, relaxed with GGA-PBE.
Lines closer than 0.1° are merged.

Atomic structure:
```
data_SiAs2
_chemical_formula_sum 'Si8 As16'
_space_group_name_H-M_alt 'P b a m'
_space_group_IT_number 55
_space_group_name_Hall '-P 2 2ab'
_cell_length_a 10.3510
_cell_length_b 15.2222
_cell_length_c 3.6935
_cell_angle_alpha 90.00
_cell_angle_beta 90.00
_cell_angle_gamma 90.00
loop_
_atom_site_label
_atom_site_type_symbol
_atom_site_fract_x
_atom_site_fract_y
_atom_site_fract_z
_atom_site_occupancy
Si1 Si 0.0830 0.1474 0.0000 1
Si2 Si 0.2002 0.7651 0.5000 1
As1 As 0.0553 0.8898 0.5000 1
As2 As 0.1088 0.6159 0.5000 1
As3 As 0.1571 0.2957 0.0000 1
As4 As 0.2378 0.5462 0.0000 1
```

Largest 8 diffraction maxima, low angle first, 5 to 70 degrees two-theta:
2θ (°)	I_rel
24.57	46
24.93	44
29.13	36
29.72	32
30.30	100
33.82	28
46.43	29
49.36	30

---

Record 2
CrN2: computed X-ray powder pattern (Cu Kα (weighted mean of Kα1 and Kα2)), based on a crystal structure in the Materials Project, relaxed with GGA-PBE.
Lines closer than 0.1° are merged.

Atomic structure:
```
data_CrN2
_chemical_formula_sum 'Cr36 N72'
_space_group_name_H-M_alt 'R -3 m'
_space_group_IT_number 166
_space_group_name_Hall '-R 3 2"'
_cell_length_a 14.7896
_cell_length_b 14.7896
_cell_length_c 16.0099
_cell_angle_alpha 90.00
_cell_angle_beta 90.00
_cell_angle_gamma 120.00
loop_
_atom_site_label
_atom_site_type_symbol
_atom_site_fract_x
_atom_site_fract_y
_atom_site_fract_z
_atom_site_occupancy
Cr1 Cr 0.9999 0.2281 0.1042 1
N1 N 0.0000 0.2584 0.0000 1
N2 N 0.0000 0.3575 0.5000 1
N3 N 0.0975 0.5487 0.7938 1
N4 N 0.1021 0.2043 0.8832 1
```

Largest 8 diffraction maxima, low angle first, 5 to 70 degrees two-theta:
2θ (°)	I_rel
8.84	100
11.97	24
14.90	14
16.61	10
19.15	28
23.28	10
28.43	18
32.02	9

---

Record 3
V6SiGe: computed X-ray powder pattern (Cu Kα (weighted mean of Kα1 and Kα2)), based on a crystal structure in the Materials Project, relaxed with GGA-PBE.
Lines closer than 0.1° are merged.

Atomic structure:
```
data_V6SiGe
_chemical_formula_sum 'V6 Si1 Ge1'
_space_group_name_H-M_alt 'P m -3'
_space_group_IT_number 200
_space_group_name_Hall '-P 2 2 3'
_cell_length_a 4.7344
_cell_length_b 4.7344
_cell_length_c 4.7344
_cell_angle_alpha 90.00
_cell_angle_beta 90.00
_cell_angle_gamma 90.00
loop_
_atom_site_label
_atom_site_type_symbol
_atom_site_fract_x
_atom_site_fract_y
_atom_site_fract_z
_atom_site_occupancy
V1 V 0.0000 0.2551 0.5000 1
Si1 Si 0.5000 0.5000 0.5000 1
Ge1 Ge 0.0000 0.0000 0.0000 1
```

Largest 8 diffraction maxima, low angle first, 5 to 70 degrees two-theta:
2θ (°)	I_rel
18.74	9
32.76	5
38.01	36
42.71	100
47.01	75
58.48	3
65.38	1
68.68	6

---

Record 4
Mg3Sb: computed X-ray powder pattern (Cu Kα (weighted mean of Kα1 and Kα2)), based on a crystal structure in the Materials Project, relaxed with GGA-PBE.
Lines closer than 0.1° are merged.

Atomic structure:
```
data_Mg3Sb
_chemical_formula_sum 'Mg3 Sb1'
_space_group_name_H-M_alt 'P m m 2'
_space_group_IT_number 25
_space_group_name_Hall 'P 2 -2'
_cell_length_a 3.2845
_cell_length_b 5.2185
_cell_length_c 5.5241
_cell_angle_alpha 90.00
_cell_angle_beta 90.00
_cell_angle_gamma 90.00
loop_
_atom_site_label
_atom_site_type_symbol
_atom_site_fract_x
_atom_site_fract_y
_atom_site_fract_z
_atom_site_occupancy
Mg1 Mg 0.0000 0.0000 0.0000 1
Mg2 Mg 0.0000 0.5000 0.3326 1
Mg3 Mg 0.5000 0.0000 0.4969 1
Sb1 Sb 0.5000 0.5000 0.8308 1
```

Largest 8 diffraction maxima, low angle first, 5 to 70 degrees two-theta:
2θ (°)	I_rel
16.04	52
16.99	46
23.45	44
31.69	38
34.37	36
36.17	100
36.82	48
47.45	24

---

Record 5
Si2Ni3: computed X-ray powder pattern (Cu Kα (weighted mean of Kα1 and Kα2)), based on a crystal structure in the Materials Project, relaxed with GGA-PBE.
Lines closer than 0.1° are merged.

Atomic structure:
```
data_Si2Ni3
_chemical_formula_sum 'Si32 Ni48'
_space_group_name_H-M_alt 'C m c m'
_space_group_IT_number 63
_space_group_name_Hall '-C 2c 2'
_cell_length_a 12.2140
_cell_length_b 10.8070
_cell_length_c 6.9174
_cell_angle_alpha 90.00
_cell_angle_beta 90.00
_cell_angle_gamma 90.00
loop_
_atom_site_label
_atom_site_type_symbol
_atom_site_fract_x
_atom_site_fract_y
_atom_site_fract_z
_atom_site_occupancy
Si1 Si 0.0000 0.0924 0.2500 1
Si2 Si 0.0000 0.3439 0.7500 1
Si3 Si 0.1192 0.4431 0.2500 1
Si4 Si 0.1514 0.1578 0.5420 1
Ni1 Ni 0.0000 0.1167 0.7500 1
Ni2 Ni 0.0000 0.2651 0.0609 1
Ni3 Ni 0.0000 0.5000 0.0000 1
Ni4 Ni 0.1721 0.3810 0.5614 1
Ni5 Ni 0.1807 0.0043 0.2500 1
Ni6 Ni 0.1968 0.2532 0.2500 1
```

Largest 8 diffraction maxima, low angle first, 5 to 70 degrees two-theta:
2θ (°)	I_rel
28.06	37
44.52	74
45.10	100
46.01	80
46.27	38
46.81	24
47.63	44
52.39	29

---

Record 6
SrTl3O5: computed X-ray powder pattern (Cu Kα (weighted mean of Kα1 and Kα2)), based on a crystal structure in the Materials Project, relaxed with GGA-PBE.
Lines closer than 0.1° are merged.

Atomic structure:
```
data_SrTl3O5
_chemical_formula_sum 'Sr4 Tl12 O20'
_space_group_name_H-M_alt 'C m c m'
_space_group_IT_number 63
_space_group_name_Hall '-C 2c 2'
_cell_length_a 3.5246
_cell_length_b 11.5962
_cell_length_c 14.0579
_cell_angle_alpha 90.00
_cell_angle_beta 90.00
_cell_angle_gamma 90.00
loop_
_atom_site_label
_atom_site_type_symbol
_atom_site_fract_x
_atom_site_fract_y
_atom_site_fract_z
_atom_site_occupancy
Sr1 Sr 0.0000 0.0306 0.2500 1
Tl1 Tl 0.0000 0.2255 0.6107 1
Tl2 Tl 0.0000 0.5000 0.0000 1
O1 O 0.0000 0.1448 0.0435 1
O2 O 0.0000 0.3171 0.7500 1
O3 O 0.0000 0.4173 0.1418 1
```

Largest 8 diffraction maxima, low angle first, 5 to 70 degrees two-theta:
2θ (°)	I_rel
12.59	34
27.19	36
29.38	33
29.73	100
30.84	36
32.72	43
35.04	35
36.80	37

---

Record 7
NaAsSe2: computed X-ray powder pattern (Cu Kα (weighted mean of Kα1 and Kα2)), based on a crystal structure in the Materials Project, relaxed with GGA-PBE.
Lines closer than 0.1° are merged.

Atomic structure:
```
data_NaAsSe2
_chemical_formula_sum 'Na8 As8 Se16'
_space_group_name_H-M_alt 'P 1 c 1'
_space_group_IT_number 7
_space_group_name_Hall 'P -2yc'
_cell_length_a 11.8076
_cell_length_b 6.0675
_cell_length_c 12.1343
_cell_angle_alpha 90.00
_cell_angle_beta 90.83
_cell_angle_gamma 90.00
loop_
_atom_site_label
_atom_site_type_symbol
_atom_site_fract_x
_atom_site_fract_y
_atom_site_fract_z
_atom_site_occupancy
Na1 Na 0.0000 0.0012 0.0000 1
Na2 Na 0.2406 0.4919 0.4906 1
Na3 Na 0.5003 0.0238 0.4752 1
Na4 Na 0.7390 0.0219 0.2388 1
As1 As 0.2324 0.0426 0.7745 1
As2 As 0.4738 0.4167 0.7481 1
As3 As 0.7337 0.4275 0.9640 1
As4 As 0.9754 0.4721 0.7843 1
Se1 Se 0.0128 0.0774 0.7490 1
Se2 Se 0.2502 0.0116 0.9687 1
Se3 Se 0.2593 0.4474 0.7429 1
Se4 Se 0.4824 0.0286 0.7262 1
Se5 Se 0.5135 0.4756 0.9463 1
Se6 Se 0.7482 0.0406 0.9883 1
Se7 Se 0.7614 0.4738 0.7611 1
Se8 Se 0.9829 0.4990 0.4794 1
```

Largest 8 diffraction maxima, low angle first, 5 to 70 degrees two-theta:
2θ (°)	I_rel
14.60	21
16.36	31
25.54	19
29.44	100
30.28	60
42.13	26
42.74	33
43.07	17

---

Record 8
LiMg2Ag: computed X-ray powder pattern (Cu Kα (weighted mean of Kα1 and Kα2)), based on a crystal structure in the Materials Project, relaxed with GGA-PBE.
Lines closer than 0.1° are merged.

Atomic structure:
```
data_LiMg2Ag
_chemical_formula_sum 'Li4 Mg8 Ag4'
_space_group_name_H-M_alt 'F m -3 m'
_space_group_IT_number 225
_space_group_name_Hall '-F 4 2 3'
_cell_length_a 6.6844
_cell_length_b 6.6844
_cell_length_c 6.6844
_cell_angle_alpha 90.00
_cell_angle_beta 90.00
_cell_angle_gamma 90.00
loop_
_atom_site_label
_atom_site_type_symbol
_atom_site_fract_x
_atom_site_fract_y
_atom_site_fract_z
_atom_site_occupancy
Li1 Li 0.0000 0.0000 0.0000 1
Mg1 Mg 0.2500 0.2500 0.2500 1
Ag1 Ag 0.0000 0.0000 0.5000 1
```

Largest 8 diffraction maxima, low angle first, 5 to 70 degrees two-theta:
2θ (°)	I_rel
23.05	100
26.67	20
38.08	100
44.98	49
54.94	16
60.36	19
62.10	7
68.80	32